For SmAl2WO8, a structure optimized by DFT (PBE+U) gives the simulated powder diffractogram in this record (Cu Kα, 1.54184 Å).

Largest 10 diffraction maxima, low angle first, 15 to 90 degrees two-theta:
d_spacing	I/Imax
4.602	100
3.283	56
3.239	25
3.225	48
2.649	84
2.302	29
2.286	38
1.876	23
1.746	38
1.728	32

Crystal structure
```
data_SmAl2WO8
_chemical_formula_sum 'Sm1 Al2 W1 O8'
_space_group_name_H-M_alt 'P 1'
_space_group_IT_number 1
_cell_length_a 4.602
_cell_length_b 4.602
_cell_length_c 6.479
_cell_angle_alpha 90.00
_cell_angle_beta 90.00
_cell_angle_gamma 91.01
loop_
_space_group_symop_operation_xyz
'x,y,z'
loop_
_atom_site_label
_atom_site_type_symbol
_atom_site_fract_x
_atom_site_fract_y
_atom_site_fract_z
Sm1 Sm 0.000 0.000 0.000
Al1 Al 0.500 0.500 0.269
Al2 Al 0.500 0.500 0.731
W1 W 0.000 0.000 0.500
O1 O 0.209 0.209 0.287
O2 O 0.209 0.209 0.713
O3 O 0.302 0.698 0.500
O4 O 0.342 0.658 0.000
O5 O 0.658 0.342 0.000
O6 O 0.698 0.302 0.500
O7 O 0.791 0.791 0.287
O8 O 0.791 0.791 0.713
```